Diffraction record for Cr2P3O10. The powder X-ray diffraction pattern is simulated, not measured: it uses DFT lattice parameters and positions (GGA+U) and Cu Kα X-rays.
Neutral-atom scattering factors, no anomalous dispersion.

Largest 10 diffraction maxima, in order of rising 2θ, 2θ from 15° to 90°:
hkl 0 0 2, 2θ = 19.81°, I = 27; hkl 1 0 1, 2θ = 23.00°, I = 22; hkl 1 0 -2, 2θ = 25.12°, I = 48; hkl 1 1 1, 2θ = 25.27°, I = 27; hkl 1 2 0, 2θ = 28.32°, I = 100; hkl 1 1 2, 2θ = 31.77°, I = 40; hkl 1 0 -3, 2θ = 32.73°, I = 46; hkl 0 2 3, 2θ = 36.67°, I = 23; hkl 1 3 2, 2θ = 43.89°, I = 20; hkl 2 3 2, 2θ = 57.57°, I = 23

Cell and atoms:
```
data_Cr2P3O10
_symmetry_space_group_name_H-M 'P 1 21/m 1'
_symmetry_Int_Tables_number 11
_symmetry_space_group_name_Hall '-P 2yb'
_cell_length_a 4.721
_cell_length_b 8.571
_cell_length_c 9.098
_cell_angle_alpha 90.00
_cell_angle_beta 99.86
_cell_angle_gamma 90.00
loop_
_atom_site_label
_atom_site_type_symbol
_atom_site_fract_x
_atom_site_fract_y
_atom_site_fract_z
Cr1 Cr 0.051 0.067 0.324
P1 P 0.326 0.250 0.817
P2 P 0.400 0.750 0.459
P3 P 0.470 0.250 0.144
O1 O 0.162 0.100 0.797
O2 O 0.215 0.750 0.766
O3 O 0.234 0.600 0.482
O4 O 0.294 0.250 0.444
O5 O 0.315 0.100 0.169
O6 O 0.432 0.750 0.288
O7 O 0.467 0.750 0.026
```